# DyCo10Mo2
Simulated powder diffractogram, Cu Kα (λ = 1.5418 Å). Input: DFT lattice parameters and positions (PBE).
Intensities are scaled so that the largest is 100.

Largest 10 diffraction maxima, in order of rising 2θ, 2θ from 10° to 90°:
(hkl)	2θ (°)	d [Å]	Rel. int.
1 1 2	30.4	2.941	16
1 3 0	37.2	2.414	62
2 0 0	38.5	2.340	19
0 4 0	42.8	2.113	48
1 2 3	43.2	2.096	100
2 2 0	44.2	2.047	67
0 2 4	48.1	1.890	15
2 2 2	49.5	1.843	22
3 2 3	72.8	1.299	20
1 3 6	78.6	1.217	19

Cell and atoms:
a b c (Å): 4.6808 8.4472 8.4610
angles (deg): 90.00 90.00 90.00
Space group Immm (No. 71)
Asymmetric unit:
Dy 0.0000 0.0000 0.0000 [2 per cell]
Co 0.0000 0.2900 0.5000 [4 per cell]
Co 0.0000 0.3591 0.0000 [4 per cell]
Co 0.0000 0.5000 0.2784 [4 per cell]
Co 0.2500 0.2500 0.2500 [8 per cell]
Mo 0.0000 0.0000 0.3585 [4 per cell]

# Li7Y7Zr9S32
Simulated powder diffractogram, Cu Kα (λ = 1.5418 Å). Input: DFT lattice parameters and positions (PBE).
Intensities are scaled so that the largest is 100.

Largest 10 diffraction maxima, in order of rising 2θ, 2θ from 10° to 90°:
(hkl)	2θ (°)	d [Å]	Rel. int.
0 1 -1	13.8	6.414	35
1 0 -1	13.9	6.349	31
1 1 2	14.3	6.215	44
2 0 2	26.9	3.315	15
1 0 7	27.4	3.252	19
2 0 6	32.9	2.726	100
2 -2 0	46.2	1.967	12
2 4 2	46.9	1.935	23
4 2 2	47.3	1.921	23
4 4 8	59.5	1.554	12

Cell and atoms:
a b c (Å): 7.6865 7.7464 25.1680
angles (deg): 82.41 82.07 61.30
Space group P1 (No. 1)
Asymmetric unit:
Li 0.0000 0.0000 0.0000 [1 per cell]
Li 0.0634 0.0646 0.8120 [1 per cell]
Li 0.2502 0.2491 0.2496 [1 per cell]
Li 0.4981 0.5000 0.5005 [1 per cell]
Li 0.5618 0.5650 0.3124 [1 per cell]
Li 0.7477 0.7498 0.7511 [1 per cell]
Li 0.8134 0.8145 0.5622 [1 per cell]
Y 0.0316 0.5320 0.4063 [1 per cell]
Y 0.0320 0.5318 0.9066 [1 per cell]
Y 0.2812 0.7818 0.6564 [1 per cell]
Y 0.5303 0.0331 0.4062 [1 per cell]
Y 0.5299 0.0337 0.9065 [1 per cell]
Y 0.7802 0.2829 0.6565 [1 per cell]
Y 0.7800 0.2841 0.1555 [1 per cell]
Zr 0.0318 0.0322 0.4065 [1 per cell]
Zr 0.1555 0.1576 0.5321 [1 per cell]
Zr 0.2813 0.2830 0.6568 [1 per cell]
Zr 0.2883 0.7782 0.1538 [1 per cell]
Zr 0.4063 0.4072 0.7819 [1 per cell]
Zr 0.5266 0.5298 0.9073 [1 per cell]
Zr 0.6553 0.6575 0.0315 [1 per cell]
Zr 0.7797 0.7793 0.1541 [1 per cell]
Zr 0.9062 0.9070 0.2807 [1 per cell]
S 0.0821 0.6203 0.2160 [1 per cell]
S 0.0938 0.0704 0.2181 [1 per cell]
S 0.1036 0.1055 0.7139 [1 per cell]
S 0.1151 0.5716 0.7186 [1 per cell]
S 0.1960 0.7436 0.3433 [1 per cell]
S 0.2081 0.2096 0.3481 [1 per cell]
S 0.2299 0.2326 0.8405 [1 per cell]
S 0.2408 0.6984 0.8431 [1 per cell]
S 0.3207 0.8672 0.4684 [1 per cell]
S 0.3319 0.3327 0.4713 [1 per cell]
S 0.3551 0.3573 0.9634 [1 per cell]
S 0.3654 0.8223 0.9697 [1 per cell]
S 0.4462 0.9932 0.5931 [1 per cell]
S 0.4581 0.4594 0.5983 [1 per cell]
S 0.4644 0.4963 0.0947 [1 per cell]
S 0.4797 0.9448 0.0976 [1 per cell]
S 0.5702 0.1172 0.7185 [1 per cell]
S 0.5814 0.5831 0.7213 [1 per cell]
S 0.5869 0.6132 0.2136 [1 per cell]
S 0.6185 0.0710 0.2186 [1 per cell]
S 0.6972 0.2432 0.8429 [1 per cell]
S 0.7088 0.7097 0.8489 [1 per cell]
S 0.7324 0.7314 0.3399 [1 per cell]
S 0.7431 0.1969 0.3427 [1 per cell]
S 0.8190 0.3680 0.9705 [1 per cell]
S 0.8286 0.8337 0.9732 [1 per cell]
S 0.8532 0.8556 0.4639 [1 per cell]
S 0.8653 0.3216 0.4686 [1 per cell]
S 0.9417 0.4973 0.0945 [1 per cell]
S 0.9740 0.9523 0.0997 [1 per cell]
S 0.9807 0.9823 0.5906 [1 per cell]
S 0.9914 0.4474 0.5932 [1 per cell]

# RbCr2S4
Simulated powder diffractogram, Cu Kα (λ = 1.5418 Å). Input: DFT lattice parameters and positions (PBE).
Intensities are scaled so that the largest is 100.

Largest 10 diffraction maxima, in order of rising 2θ, 2θ from 10° to 90°:
(hkl)	2θ (°)	d [Å]	Rel. int.
0 0 2	11.9	7.423	30
1 0 2	13.7	6.468	40
2 0 1	14.7	6.023	33
1 0 3	19.2	4.633	39
0 0 4	24.0	3.712	30
3 1 1	33.6	2.671	100
3 1 2	35.2	2.550	28
3 0 5	36.5	2.461	24
6 0 3	45.2	2.006	25
6 1 4	55.4	1.658	24

Cell and atoms:
a b c (Å): 13.1803 3.4536 14.8468
angles (deg): 90.00 90.00 90.00
Space group Pnma (No. 62)
Asymmetric unit:
Rb 0.1116 0.2500 0.1152 [4 per cell]
Cr 0.0914 0.7500 0.4452 [4 per cell]
Cr 0.2213 0.7500 0.8578 [4 per cell]
S 0.0219 0.7500 0.5918 [4 per cell]
S 0.1061 0.2500 0.8676 [4 per cell]
S 0.1705 0.7500 0.2991 [4 per cell]
S 0.2091 0.2500 0.4937 [4 per cell]

# DySi
Simulated powder diffractogram, Cu Kα (λ = 1.5418 Å). Input: DFT lattice parameters and positions (PBE).
Intensities are scaled so that the largest is 100.

Largest 10 diffraction maxima, in order of rising 2θ, 2θ from 10° to 90°:
(hkl)	2θ (°)	d [Å]	Rel. int.
1 1 0	22.4	3.970	38
0 2 1	28.8	3.101	65
1 1 1	32.5	2.758	100
1 3 0	33.0	2.717	53
0 4 0	34.0	2.635	30
1 3 1	40.7	2.217	32
2 0 0	42.2	2.143	23
2 2 1	51.9	1.763	26
1 5 1	54.1	1.696	23
1 3 2	59.0	1.567	20

Cell and atoms:
a b c (Å): 4.2855 10.5396 3.8347
angles (deg): 90.00 90.00 90.00
Space group Cmcm (No. 63)
Asymmetric unit:
Dy 0.0000 0.1401 0.2500 [4 per cell]
Si 0.0000 0.4237 0.2500 [4 per cell]

# NaNdZrTiO6
Simulated powder diffractogram, Cu Kα (λ = 1.5418 Å). Input: DFT lattice parameters and positions (PBE).
Intensities are scaled so that the largest is 100.

Largest 10 diffraction maxima, in order of rising 2θ, 2θ from 10° to 90°:
(hkl)	2θ (°)	d [Å]	Rel. int.
1 1 1	19.1	4.641	47
2 2 0	31.5	2.842	100
3 1 1	37.1	2.424	28
4 0 0	45.1	2.010	38
3 3 1	49.4	1.844	13
4 2 2	56.0	1.641	39
3 3 3	59.8	1.547	9
4 4 0	65.7	1.421	22
5 3 1	69.1	1.359	9
6 2 0	74.7	1.271	17

Cell and atoms:
a b c (Å): 8.0385 8.0385 8.0385
angles (deg): 90.00 90.00 90.00
Space group F-43m (No. 216)
Asymmetric unit:
Na 0.0000 0.0000 0.0000 [4 per cell]
Nd 0.0000 0.0000 0.5000 [4 per cell]
Zr 0.2500 0.2500 0.7500 [4 per cell]
Ti 0.2500 0.2500 0.2500 [4 per cell]
O 0.0082 0.2500 0.2500 [24 per cell]

# Ba5MgBi3O11
Simulated powder diffractogram, Cu Kα (λ = 1.5418 Å). Input: DFT lattice parameters and positions (PBE).
Intensities are scaled so that the largest is 100.

Largest 10 diffraction maxima, in order of rising 2θ, 2θ from 10° to 90°:
(hkl)	2θ (°)	d [Å]	Rel. int.
1 1 -2	25.2	3.529	55
-1 1 2	25.4	3.506	43
0 2 0	27.3	3.262	100
1 -1 2	27.8	3.206	97
2 0 0	28.0	3.186	42
2 0 -1	28.2	3.168	59
1 1 2	28.5	3.133	90
1 1 -3	32.0	2.800	49
-1 1 3	32.3	2.774	47
2 2 -1	39.9	2.260	54

Cell and atoms:
a b c (Å): 6.4411 6.5263 9.8564
angles (deg): 91.14 98.36 90.87
Space group P1 (No. 1)
Asymmetric unit:
Ba 0.0000 0.0000 0.0000 [1 per cell]
Ba 0.0355 0.5627 0.2418 [1 per cell]
Ba 0.1576 0.5224 0.6606 [1 per cell]
Ba 0.5815 0.0841 0.2550 [1 per cell]
Ba 0.6807 0.0256 0.6562 [1 per cell]
Mg 0.8801 0.4574 0.8771 [1 per cell]
Bi 0.1286 0.0437 0.4608 [1 per cell]
Bi 0.4808 0.5472 0.0230 [1 per cell]
Bi 0.6157 0.5491 0.4808 [1 per cell]
O 0.1250 0.6367 0.9505 [1 per cell]
O 0.1574 0.0239 0.2525 [1 per cell]
O 0.3545 0.7793 0.5022 [1 per cell]
O 0.4038 0.2759 0.5212 [1 per cell]
O 0.4411 0.4865 0.2294 [1 per cell]
O 0.6534 0.8244 0.0618 [1 per cell]
O 0.7275 0.5999 0.7067 [1 per cell]
O 0.7729 0.3470 0.0434 [1 per cell]
O 0.8383 0.8206 0.4438 [1 per cell]
O 0.8802 0.3213 0.4411 [1 per cell]
O 0.9962 0.2178 0.7858 [1 per cell]

# K2CaMg5Si8H2O24
Simulated powder diffractogram, Cu Kα (λ = 1.5418 Å). Input: DFT lattice parameters and positions (PBE).
Intensities are scaled so that the largest is 100.

Largest 10 diffraction maxima, in order of rising 2θ, 2θ from 10° to 90°:
(hkl)	2θ (°)	d [Å]	Rel. int.
1 -2 2	25.9	3.436	100
0 2 -3	26.4	3.372	77
0 3 -1	27.3	3.268	46
1 -3 2	29.7	3.013	64
1 2 0	31.6	2.833	53
-1 2 2	32.6	2.749	100
1 -1 3	34.1	2.627	47
2 0 -1	34.8	2.580	82
1 0 3	38.6	2.335	49
1 -3 4	40.9	2.206	43

Cell and atoms:
a b c (Å): 5.3395 10.3082 10.5126
angles (deg): 115.15 97.36 104.87
Space group P1 (No. 1)
Asymmetric unit:
K 0.0000 0.0000 0.0000 [1 per cell]
K 0.2723 0.7950 0.5725 [1 per cell]
Ca 0.5628 0.5627 0.1258 [1 per cell]
Mg 0.1959 0.1960 0.3910 [1 per cell]
Mg 0.3736 0.3737 0.7464 [1 per cell]
Mg 0.6033 0.1032 0.2060 [1 per cell]
Mg 0.7847 0.2845 0.5680 [1 per cell]
Mg 0.9639 0.4639 0.9272 [1 per cell]
Si 0.0856 0.3981 0.2290 [1 per cell]
Si 0.1438 0.8314 0.2286 [1 per cell]
Si 0.4224 0.7345 0.9119 [1 per cell]
Si 0.4903 0.1782 0.9122 [1 per cell]
Si 0.6658 0.4705 0.3992 [1 per cell]
Si 0.7337 0.9292 0.3992 [1 per cell]
Si 0.8315 0.6371 0.7377 [1 per cell]
Si 0.9065 0.1010 0.7376 [1 per cell]
H 0.2312 0.4856 0.5708 [1 per cell]
H 0.3395 0.0862 0.5707 [1 per cell]
O 0.0056 0.2412 0.2389 [1 per cell]
O 0.1096 0.4081 0.0818 [1 per cell]
O 0.1478 0.7461 0.8238 [1 per cell]
O 0.1741 0.3888 0.5717 [1 per cell]
O 0.1758 0.0700 0.7956 [1 per cell]
O 0.2335 0.9983 0.2389 [1 per cell]
O 0.3471 0.5716 0.9158 [1 per cell]
O 0.3989 0.1839 0.5717 [1 per cell]
O 0.4067 0.5079 0.3387 [1 per cell]
O 0.4199 0.8111 0.3085 [1 per cell]
O 0.4983 0.1796 0.0643 [1 per cell]
O 0.5658 0.8850 0.0644 [1 per cell]
O 0.5689 0.3446 0.9158 [1 per cell]
O 0.5864 0.3072 0.3962 [1 per cell]
O 0.6207 0.7261 0.7959 [1 per cell]
O 0.6761 0.0782 0.8236 [1 per cell]
O 0.7599 0.4783 0.7440 [1 per cell]
O 0.7639 0.9583 0.5689 [1 per cell]
O 0.8062 0.6105 0.5689 [1 per cell]
O 0.8105 0.0894 0.3963 [1 per cell]
O 0.8887 0.4980 0.3083 [1 per cell]
O 0.9333 0.8316 0.3392 [1 per cell]
O 0.9722 0.6740 0.0820 [1 per cell]
O 0.9848 0.2660 0.7439 [1 per cell]

# Nd2Mg
Simulated powder diffractogram, Cu Kα (λ = 1.5418 Å). Input: DFT lattice parameters and positions (PBE).
Intensities are scaled so that the largest is 100.

Largest 10 diffraction maxima, in order of rising 2θ, 2θ from 10° to 90°:
(hkl)	2θ (°)	d [Å]	Rel. int.
2 0 0	13.6	6.492	19
1 1 0	24.4	3.648	24
4 0 0	27.5	3.246	14
2 0 2	31.0	2.887	31
4 0 -2	31.3	2.857	100
1 1 -2	33.2	2.702	59
6 0 0	41.7	2.164	13
5 1 2	54.1	1.695	12
7 1 -2	54.5	1.684	13
5 1 -4	58.1	1.588	22

Cell and atoms:
a b c (Å): 13.5054 3.8015 7.6805
angles (deg): 90.00 105.96 90.00
Space group C2/m (No. 12)
Asymmetric unit:
Nd 0.1474 0.0000 0.0610 [4 per cell]
Nd 0.1668 0.0000 0.5955 [4 per cell]
Mg 0.0096 0.5000 0.2744 [4 per cell]